# 1
For Sm3Rh8Au, the GGA-PBE geometry in Alexandria gives the simulated powder X-ray diffraction pattern in this record (Cu Ka).
No peak broadening, texture or thermal motion is included.

Principal peaks in the range 2θ = 10–80°, low angle first:
2θ/deg, Rel. int.
33.6, 56.1
39.6, 100.0
39.6, 33.8
41.4, 26.7
60.0, 15.8
64.0, 22.6
64.1, 16.6
70.6, 17.5

Unit cell a=9.2719 b=9.2719 c=9.2719 alpha=33.44 beta=33.44 gamma=33.44
Atoms (fractional coordinates):
Sm: 0.0000 0.0000 0.0000
Sm: 0.1301 0.1301 0.1301
Sm: 0.5140 0.5140 0.5140
Rh: 0.0681 0.5678 0.5678
Rh: 0.0690 0.0690 0.5674
Rh: 0.0690 0.5674 0.0690
Rh: 0.3180 0.3180 0.3180
Rh: 0.5674 0.0690 0.0690
Rh: 0.5678 0.0681 0.5678
Rh: 0.5678 0.5678 0.0681
Rh: 0.8181 0.8181 0.8181
Au: 0.6360 0.6360 0.6360



# 2
For NpCl4O, the GGA-PBE geometry in Alexandria gives the simulated powder X-ray diffraction pattern in this record (Cu Ka).
No peak broadening, texture or thermal motion is included.

Principal peaks in the range 2θ = 10–80°, low angle first:
2θ/deg, Rel. int.
12.8, 100.0
18.1, 37.9
23.6, 64.0
28.9, 32.2
29.9, 20.4
35.2, 16.6
44.1, 25.3
51.8, 16.8

Unit cell a=7.2141 b=7.2141 c=7.2141 alpha=94.61 beta=94.61 gamma=147.06
Atoms (fractional coordinates):
Np: 0.0000 0.0000 0.0000
Cl: 0.0577 0.7545 0.8122
Cl: 0.2455 0.0577 0.3032
Cl: 0.7545 0.9423 0.6968
Cl: 0.9423 0.2455 0.1878
O: 0.5000 0.5000 0.0000